PmAl2SiIr: theoretical XRD peak list (a wavelength of 1.5418 Å), based on a structure optimized by DFT (GGA-PBE).
Intensities are scaled so that the largest is 100.

Structural model:
Cell lengths 6.254, 6.254, 6.254 Å; angles 143.08, 142.01, 54.01 degrees
Element x y z (fractional)
Pm1 0.000 0.000 0.000
Al1 0.382 0.382 0.000
Al2 0.744 0.244 0.500
Si1 0.606 0.606 0.000
Ir1 0.238 0.738 0.500

Most intense lines, 10 to 80 degrees two-theta, most intense first:
35.49 deg, I = 100
23.26 deg, I = 42
23.84 deg, I = 34
33.06 deg, I = 31
32.13 deg, I = 22
32.63 deg, I = 20
59.47 deg, I = 18
44.50 deg, I = 17
45.82 deg, I = 16
46.44 deg, I = 15

***

LiTb6Ni: theoretical XRD peak list (a wavelength of 1.5418 Å), based on a structure optimized by DFT (GGA-PBE).
Intensities are scaled so that the largest is 100.

Structural model:
Cell lengths 6.808, 6.812, 7.135 Å; angles 90.07, 118.43, 119.94 degrees
Element x y z (fractional)
Li1 0.000 0.000 0.000
Tb1 0.178 0.458 0.254
Tb2 0.203 0.280 0.746
Tb3 0.466 0.923 0.746
Tb4 0.534 0.077 0.254
Tb5 0.797 0.720 0.254
Tb6 0.822 0.542 0.746
Ni1 0.000 0.500 0.500

Most intense lines, 10 to 80 degrees two-theta, most intense first:
30.22 deg, I = 100
29.99 deg, I = 21
40.21 deg, I = 21
53.40 deg, I = 21
46.16 deg, I = 20
26.16 deg, I = 17
56.15 deg, I = 14
56.02 deg, I = 13
15.82 deg, I = 8
75.54 deg, I = 5